For Gd3Sn3Pb4, a crystal structure in OQMD, relaxed with GGA-PBE gives the calculated XRD peak list in this record (Cu Kα (λ = 1.5418 Å)).
Peak positions follow from Bragg's law for the DFT cell and can differ from measured ones.

```
Gd3Sn3Pb4
1.0
2.349 -12.853 0.000
2.349 12.853 0.000
0.000 0.000 4.641
Gd Sn Pb
3 3 4
Cartesian
0.000 0.000 0.000 Gd
2.349 8.065 0.000 Gd
2.349 -8.065 0.000 Gd
2.349 10.383 2.320 Sn
2.349 0.000 2.320 Sn
2.349 -10.383 2.320 Sn
2.349 5.302 2.320 Pb
2.349 2.463 0.000 Pb
2.349 -2.463 0.000 Pb
2.349 -5.302 2.320 Pb
```

Top 10 peaks for 5° ≤ 2θ ≤ 70°, low angle first:
| 2theta | I (rel.) |
| --- | --- |
| 32.2 | 1000 |
| 34.9 | 174 |
| 38.3 | 166 |
| 38.8 | 161 |
| 52.8 | 109 |
| 53.2 | 107 |
| 55.7 | 114 |
| 60.9 | 111 |
| 65.5 | 135 |
| 66.1 | 131 |



For CdSiAg2Se2S2, a crystal structure in OQMD, relaxed with GGA-PBE gives the calculated XRD peak list in this record (Cu Kα (λ = 1.5418 Å)).
Peak positions follow from Bragg's law for the DFT cell and can differ from measured ones.

```
CdSiAg2Se2S2
1.0
0.000 4.120 5.900
4.031 0.000 5.900
4.031 4.120 0.000
Cd Si Ag Se S
1 1 2 2 2
Cartesian
0.000 0.000 0.000 Cd
4.031 4.120 5.868 Si
2.016 2.060 3.116 Ag
6.047 6.179 9.017 Ag
4.031 2.298 7.283 Se
4.031 5.941 7.283 Se
5.771 4.120 4.586 S
2.292 4.120 4.586 S
```

Top 10 peaks for 5° ≤ 2θ ≤ 70°, low angle first:
| 2theta | I (rel.) |
| --- | --- |
| 26.4 | 829 |
| 26.8 | 1000 |
| 27.5 | 112 |
| 34.6 | 136 |
| 35.4 | 107 |
| 43.9 | 969 |
| 45.0 | 188 |
| 51.5 | 167 |
| 52.2 | 264 |
| 52.9 | 221 |